Entry 1:
Structure and simulated powder diffraction line list of TmBe13 (DFT lattice parameters and positions (GGA-PBE); Cu Kα X-rays).

Unit cell a=10.126 b=10.126 c=10.126 alpha=90.00 beta=90.00 gamma=90.00
Space group Fm-3c (No. 226)
Unique sites:
1 Tm 0.250 0.250 0.250
2 Be 0.000 0.000 0.000
3 Be 0.000 0.114 0.177

Most intense lines, 5° ≤ 2θ ≤ 70°, in order of rising 2θ:
- 17.52 deg, I 93, hkl 2 0 0
- 24.87 deg, I 100, hkl 2 2 0
- 30.58 deg, I 44, hkl 2 2 2
- 39.81 deg, I 71, hkl 4 2 0
- 43.80 deg, I 60, hkl 4 2 2
- 69.46 deg, I 28, hkl 6 4 2

Entry 2:
Structure and simulated powder diffraction line list of Na2CuSi4O10 (DFT lattice parameters and positions (GGA-PBE); Cu Kα X-rays).

Unit cell a=7.003 b=7.793 c=9.871 alpha=105.87 beta=99.03 gamma=114.33
Space group P-1 (No. 2)
Unique sites:
1 Na 0.183 0.281 0.025
2 Na 0.187 0.639 0.421
3 Cu 0.306 0.347 0.573
4 Si 0.068 0.872 0.751
5 Si 0.279 0.645 0.850
6 Si 0.351 0.107 0.264
7 Si 0.458 0.754 0.189
8 O 0.031 0.273 0.420
9 O 0.098 0.053 0.180
10 O 0.116 0.751 0.856
11 O 0.165 0.432 0.714
12 O 0.290 0.090 0.799
13 O 0.325 0.615 0.009
14 O 0.339 0.887 0.253
15 O 0.437 0.593 0.266
16 O 0.452 0.267 0.431
17 O 0.484 0.186 0.151

Most intense lines, 5° ≤ 2θ ≤ 70°, in order of rising 2θ:
- 13.34 deg, I 42, hkl 0 1 -1
- 22.24 deg, I 100, hkl 1 1 -1
- 26.87 deg, I 66, hkl 0 2 -2
- 27.85 deg, I 81, hkl 0 1 2
- 30.03 deg, I 69, hkl -2 1 2
- 34.55 deg, I 43, hkl 2 -2 2

- Number 2 is which compound?
  Na2CuSi4O10